1.
Calculated X-ray powder pattern of MnZnNiAs for Cu Kα (λ = 1.5418 Å), from the PBE geometry in Alexandria.
Intensities are scaled so that the largest is 100.

Largest 10 diffraction maxima, by intensity, 2θ from 15° to 90°:
hkl	2theta	I/Imax
0 1 2	43.3	100
1 1 0	42.4	88
1 0 -2	40.6	39
1 0 2	47.8	33
0 2 0	59.9	20
1 1 -1	43.6	17
1 2 2	80.0	13
1 1 -2	50.6	12
1 2 -2	74.8	11
2 0 -1	62.6	10

Atomic structure:
a = 2.985 Å, b = 3.091 Å, c = 5.742 Å
α = 90.00°, β = 98.91°, γ = 90.00°
Space group Pm (No. 6)
Inequivalent atoms, fractional coordinates:
Mn 0.000 0.000 0.000 x1
Zn 0.415 0.500 0.713 x1
Ni 0.844 0.000 0.486 x1
As 0.558 0.500 0.190 x1


2.
Calculated X-ray powder pattern of Ti2Cr2Rh for Cu Kα (λ = 1.5418 Å), from the PBE geometry in Alexandria.
Intensities are scaled so that the largest is 100.

Largest 10 diffraction maxima, by intensity, 2θ from 15° to 90°:
hkl	2theta	I/Imax
2 0 1	39.6	100
2 1 1	41.8	49
3 1 0	41.6	48
2 2 0	37.1	41
5 1 1	77.6	27
3 1 1	51.7	24
3 2 0	47.8	20
0 0 1	29.3	18
3 1 2	76.4	15
0 0 2	60.8	13

Atomic structure:
a = 6.858 Å, b = 6.858 Å, c = 3.049 Å
α = 90.00°, β = 90.00°, γ = 90.00°
Space group P4/mbm (No. 127)
Inequivalent atoms, fractional coordinates:
Ti 0.198 0.302 0.000 x4
Cr 0.101 0.601 0.500 x4
Rh 0.000 0.000 0.500 x2


3.
Calculated X-ray powder pattern of UPS4I for Cu Kα (λ = 1.5418 Å), from the PBE geometry in Alexandria.
Intensities are scaled so that the largest is 100.

Largest 10 diffraction maxima, by intensity, 2θ from 15° to 90°:
hkl	2theta	I/Imax
0 2 0	20.8	100
3 1 -2	31.2	49
1 1 -1	16.2	47
1 1 2	28.6	39
3 1 -1	26.2	30
2 0 2	31.5	29
4 2 0	38.6	28
3 3 -2	43.5	24
1 3 2	41.6	23
2 0 0	15.9	22

Atomic structure:
a = 11.473 Å, b = 8.536 Å, c = 7.823 Å
α = 90.00°, β = 103.81°, γ = 90.00°
Space group C2/m (No. 12)
Inequivalent atoms, fractional coordinates:
U 0.230 0.000 0.128 x4
P 0.134 0.500 0.272 x4
S 0.036 0.500 0.697 x4
S 0.173 0.321 0.104 x8
S 0.240 0.000 0.495 x4
I 0.023 0.000 0.776 x4


4.
Calculated X-ray powder pattern of MgAg7Hg4 for Cu Kα (λ = 1.5418 Å), from the PBE geometry in Alexandria.
Intensities are scaled so that the largest is 100.

Largest 10 diffraction maxima, by intensity, 2θ from 15° to 90°:
hkl	2theta	I/Imax
1 1 3	39.1	100
3 1 -4	39.7	91
0 2 0	34.7	76
4 0 -1	34.9	67
4 2 -1	50.0	47
1 1 -1	19.7	38
3 3 -4	65.5	23
1 3 3	65.1	22
5 1 2	65.0	20
2 2 -7	74.2	15

Atomic structure:
a = 10.631 Å, b = 5.177 Å, c = 10.549 Å
α = 90.00°, β = 118.98°, γ = 90.00°
Space group C2/m (No. 12)
Inequivalent atoms, fractional coordinates:
Mg 0.000 0.000 0.000 x2
Ag 0.000 0.500 0.000 x2
Ag 0.120 0.000 0.470 x4
Ag 0.163 0.500 0.621 x4
Ag 0.214 0.500 0.918 x4
Hg 0.082 0.500 0.308 x4
Hg 0.172 0.000 0.774 x4


5.
Calculated X-ray powder pattern of CaAlOs2 for Cu Kα (λ = 1.5418 Å), from the PBE geometry in Alexandria.
Intensities are scaled so that the largest is 100.

Largest 10 diffraction maxima, by intensity, 2θ from 15° to 90°:
hkl	2theta	I/Imax
1 1 0	17.5	100
1 1 -1	19.2	96
4 2 -2	46.2	55
0 0 1	17.8	55
2 0 -1	18.3	50
3 1 -2	33.6	49
0 2 2	45.3	46
1 1 -2	33.0	45
0 2 1	32.2	42
1 3 0	42.1	40

Atomic structure:
a = 9.887 Å, b = 6.707 Å, c = 6.355 Å
α = 90.00°, β = 128.34°, γ = 90.00°
Space group C2 (No. 5)
Inequivalent atoms, fractional coordinates:
Ca 0.242 0.000 0.099 x4
Al 0.094 0.774 0.389 x4
Os 0.109 0.142 0.468 x4
Os 0.109 0.434 0.243 x4


6.
Calculated X-ray powder pattern of Ba2AlZn6Au for Cu Kα (λ = 1.5418 Å), from the PBE geometry in Alexandria.
Intensities are scaled so that the largest is 100.

Largest 10 diffraction maxima, by intensity, 2θ from 15° to 90°:
hkl	2theta	I/Imax
1 0 2	28.3	100
1 -1 0	25.9	76
2 0 2	36.9	52
0 1 2	29.7	35
2 2 0	37.0	32
0 1 -3	49.6	27
2 0 0	34.5	23
1 -2 0	38.7	23
1 1 1	17.0	22
2 1 3	41.5	22

Atomic structure:
a = 6.155 Å, b = 6.990 Å, c = 7.003 Å
α = 69.12°, β = 64.00°, γ = 64.01°
Space group P-1 (No. 2)
Inequivalent atoms, fractional coordinates:
Ba 0.238 0.171 0.352 x2
Al 0.500 0.500 0.500 x1
Zn 0.204 0.301 0.824 x2
Zn 0.250 0.638 0.863 x2
Zn 0.329 0.697 0.176 x2
Au 0.000 0.000 0.000 x1